The following is a computed powder diffraction line list of Li4MnFe3B4O12. It was derived from a DFT-relaxed cell (PBE+U, the Materials Project), using Cu Kα, 1.54184 Å.
Lines closer than 0.1° are merged.

Structural model:
abc: 5.2278 5.2301 10.4064
angles: 90.77 91.23 119.90
Space group P1 (No. 1)
Symmetry-distinct sites (fractional):
Li 0.0000 0.0000 0.0000 [1 per cell]
Li 0.0317 0.9924 0.4971 [1 per cell]
Li 0.3193 0.3159 0.2494 [1 per cell]
Li 0.3520 0.3139 0.7472 [1 per cell]
Mn 0.6786 0.3309 0.0316 [1 per cell]
Fe 0.0125 0.6594 0.7826 [1 per cell]
Fe 0.3616 0.6770 0.5350 [1 per cell]
Fe 0.6654 0.9774 0.2852 [1 per cell]
B 0.9999 0.6477 0.2912 [1 per cell]
B 0.3405 0.6573 0.0395 [1 per cell]
B 0.6816 0.9907 0.7877 [1 per cell]
B 0.6872 0.3289 0.5392 [1 per cell]
O 0.0157 0.9212 0.3051 [1 per cell]
O 0.1031 0.6897 0.9974 [1 per cell]
O 0.2509 0.6274 0.3215 [1 per cell]
O 0.3095 0.3807 0.0529 [1 per cell]
O 0.4145 0.3059 0.5512 [1 per cell]
O 0.4334 0.7263 0.7494 [1 per cell]
O 0.6131 0.9087 0.0714 [1 per cell]
O 0.6600 0.2419 0.8160 [1 per cell]
O 0.7097 0.0819 0.5006 [1 per cell]
O 0.7387 0.3987 0.2498 [1 per cell]
O 0.9440 0.5970 0.5699 [1 per cell]
O 0.9568 0.0111 0.8012 [1 per cell]

Most intense lines, 2θ = 15–90°, sorted by position:
2θ/deg	I (rel.)	(hkl)
19.6	717	1 -1 0
21.4	377	1 -1 1
21.6	674	0 1 1
25.7	441	1 0 -2
26.5	278	1 0 2
34.3	872	1 -2 0
34.5	1000	0 0 4
40.5	453	2 0 -1
40.8	244	2 -2 1
61.4	233	0 3 0

---

The following is a computed powder diffraction line list of Li4Mn3FeB4O12. It was derived from a DFT-relaxed cell (PBE+U, the Materials Project), using Cu Kα, 1.54184 Å.
Lines closer than 0.1° are merged.

Structural model:
abc: 5.2320 6.0398 16.2522
angles: 82.11 88.93 89.36
Space group P1 (No. 1)
Symmetry-distinct sites (fractional):
Li 0.0000 0.0000 0.0000 [1 per cell]
Li 0.0004 0.4999 0.4991 [1 per cell]
Li 0.1984 0.3761 0.0319 [1 per cell]
Li 0.1990 0.8751 0.5304 [1 per cell]
Li 0.5000 0.2491 0.2504 [1 per cell]
Li 0.5005 0.7515 0.7487 [1 per cell]
Li 0.6976 0.1257 0.7801 [1 per cell]
Li 0.6999 0.6258 0.2824 [1 per cell]
Mn 0.0153 0.5863 0.6804 [1 per cell]
Mn 0.0170 0.0858 0.1817 [1 per cell]
Mn 0.1823 0.2886 0.8510 [1 per cell]
Mn 0.5166 0.3358 0.4315 [1 per cell]
Mn 0.5166 0.8377 0.9304 [1 per cell]
Mn 0.6822 0.5374 0.1008 [1 per cell]
Fe 0.1788 0.7884 0.3517 [1 per cell]
Fe 0.6885 0.0386 0.6008 [1 per cell]
B 0.0188 0.7785 0.8422 [1 per cell]
B 0.0200 0.2772 0.3430 [1 per cell]
B 0.1791 0.1002 0.6870 [1 per cell]
B 0.1814 0.5980 0.1896 [1 per cell]
B 0.5193 0.0278 0.0927 [1 per cell]
B 0.5196 0.5271 0.5927 [1 per cell]
B 0.6787 0.8486 0.4379 [1 per cell]
B 0.6797 0.3482 0.9385 [1 per cell]
O 0.0317 0.2324 0.7346 [1 per cell]
O 0.0324 0.7314 0.2363 [1 per cell]
O 0.0571 0.9866 0.6295 [1 per cell]
O 0.0630 0.4820 0.1326 [1 per cell]
O 0.1354 0.8962 0.8989 [1 per cell]
O 0.1377 0.3954 0.3993 [1 per cell]
O 0.1687 0.1402 0.2976 [1 per cell]
O 0.1691 0.6435 0.7961 [1 per cell]
O 0.2595 0.0491 0.0792 [1 per cell]
O 0.2596 0.5493 0.5788 [1 per cell]
O 0.4390 0.0761 0.6987 [1 per cell]
O 0.4415 0.5766 0.2027 [1 per cell]
O 0.5288 0.4831 0.9842 [1 per cell]
O 0.5362 0.9797 0.4869 [1 per cell]
O 0.5559 0.7346 0.3814 [1 per cell]
O 0.5641 0.2301 0.8815 [1 per cell]
O 0.6359 0.6455 0.6491 [1 per cell]
O 0.6365 0.1460 0.1491 [1 per cell]
O 0.6690 0.8924 0.0467 [1 per cell]
O 0.6697 0.3906 0.5473 [1 per cell]
O 0.7592 0.7994 0.8283 [1 per cell]
O 0.7604 0.2989 0.3296 [1 per cell]
O 0.9393 0.3276 0.9525 [1 per cell]
O 0.9407 0.8288 0.4489 [1 per cell]

Most intense lines, 2θ = 15–90°, sorted by position:
2θ/deg	I (rel.)	(hkl)
20.4	784	1 0 -2
20.7	205	0 1 3
22.1	342	0 0 4
22.6	600	1 1 1
33.4	1000	0 2 -2
34.0	330	1 1 5
34.3	254	2 0 0
34.7	278	-1 1 5
40.0	260	0 1 7
40.8	543	2 0 4

---

The following is a computed powder diffraction line list of Li2MnFeB2O6. It was derived from a DFT-relaxed cell (PBE+U, the Materials Project), using Cu Kα, 1.54184 Å.
Lines closer than 0.1° are merged.

Structural model:
abc: 5.2341 5.2481 20.8081
angles: 88.24 89.31 60.19
Space group P1 (No. 1)
Symmetry-distinct sites (fractional):
Li 0.0000 0.0000 0.0000 [1 per cell]
Li 0.9996 0.0026 0.4996 [1 per cell]
Li 0.0101 0.3174 0.3751 [1 per cell]
Li 0.0135 0.3148 0.8748 [1 per cell]
Li 0.9638 0.3400 0.6243 [1 per cell]
Li 0.9671 0.3372 0.1245 [1 per cell]
Li 0.9710 0.0120 0.2510 [1 per cell]
Li 0.9732 0.0118 0.7497 [1 per cell]
Mn 0.3120 0.6646 0.6420 [1 per cell]
Mn 0.3222 0.3366 0.0176 [1 per cell]
Mn 0.6632 0.9874 0.3902 [1 per cell]
Mn 0.6661 0.9856 0.8908 [1 per cell]
Fe 0.3036 0.6704 0.1430 [1 per cell]
Fe 0.3362 0.3263 0.5169 [1 per cell]
Fe 0.6587 0.6612 0.2656 [1 per cell]
Fe 0.6602 0.6588 0.7657 [1 per cell]
B 0.3192 0.3349 0.2693 [1 per cell]
B 0.3246 0.3330 0.7699 [1 per cell]
B 0.3292 0.6596 0.3950 [1 per cell]
B 0.3328 0.6587 0.8946 [1 per cell]
B 0.6448 0.0030 0.6456 [1 per cell]
B 0.6493 0.6673 0.5202 [1 per cell]
B 0.6497 0.9997 0.1463 [1 per cell]
B 0.6497 0.6696 0.0215 [1 per cell]
O 0.0646 0.3164 0.2763 [1 per cell]
O 0.0688 0.3159 0.7763 [1 per cell]
O 0.0831 0.9353 0.4018 [1 per cell]
O 0.0875 0.9341 0.9018 [1 per cell]
O 0.3042 0.5996 0.2507 [1 per cell]
O 0.3062 0.5983 0.7504 [1 per cell]
O 0.3079 0.4090 0.4102 [1 per cell]
O 0.3112 0.4084 0.9103 [1 per cell]
O 0.3734 0.6942 0.5345 [1 per cell]
O 0.3738 0.7026 0.0373 [1 per cell]
O 0.3761 0.2397 0.6252 [1 per cell]
O 0.3847 0.2454 0.1275 [1 per cell]
O 0.5901 0.0844 0.2834 [1 per cell]
O 0.5961 0.0840 0.7842 [1 per cell]
O 0.5973 0.6301 0.3745 [1 per cell]
O 0.6011 0.6275 0.8739 [1 per cell]
O 0.6637 0.9164 0.5003 [1 per cell]
O 0.6656 0.7291 0.1600 [1 per cell]
O 0.6673 0.7303 0.6609 [1 per cell]
O 0.6709 0.9125 0.9997 [1 per cell]
O 0.8920 0.0321 0.6520 [1 per cell]
O 0.8990 0.3950 0.0283 [1 per cell]
O 0.9018 0.0229 0.1527 [1 per cell]
O 0.9051 0.3980 0.5269 [1 per cell]

Most intense lines, 2θ = 15–90°, sorted by position:
2θ/deg	I (rel.)	(hkl)
19.5	673	1 0 0
21.4	379	1 0 2
21.6	622	1 1 -2
25.6	236	0 1 4
26.4	291	1 1 -4
34.2	547	1 2 0
34.3	326	2 1 0
34.5	1000	0 0 8
40.3	243	0 2 2
40.7	236	2 0 2

---

The following is a computed powder diffraction line list of Li4Mn3FeB4O12. It was derived from a DFT-relaxed cell (PBE+U, the Materials Project), using Cu Kα, 1.54184 Å.
Lines closer than 0.1° are merged.

Structural model:
abc: 5.2485 6.0166 16.2997
angles: 82.04 89.33 89.53
Space group P-1 (No. 2)
Symmetry-distinct sites (fractional):
Li 0.1487 0.4363 0.1094 [2 per cell]
Li 0.1522 0.9354 0.6102 [2 per cell]
Li 0.3477 0.3151 0.6411 [2 per cell]
Li 0.3486 0.8179 0.1384 [2 per cell]
Mn 0.1681 0.5272 0.2891 [2 per cell]
Mn 0.1705 0.0201 0.7913 [2 per cell]
Mn 0.3306 0.2240 0.4605 [2 per cell]
Fe 0.3305 0.7225 0.9627 [2 per cell]
B 0.1698 0.7152 0.4519 [2 per cell]
B 0.1726 0.2126 0.9551 [2 per cell]
B 0.3296 0.0353 0.2971 [2 per cell]
B 0.3330 0.5324 0.7996 [2 per cell]
O 0.0880 0.7646 0.0572 [2 per cell]
O 0.0892 0.2638 0.5621 [2 per cell]
O 0.1804 0.1689 0.3436 [2 per cell]
O 0.1853 0.6650 0.8467 [2 per cell]
O 0.2120 0.9197 0.2395 [2 per cell]
O 0.2149 0.4191 0.7415 [2 per cell]
O 0.2860 0.8325 0.5093 [2 per cell]
O 0.2933 0.3292 0.0117 [2 per cell]
O 0.3164 0.0786 0.9078 [2 per cell]
O 0.3200 0.5815 0.4059 [2 per cell]
O 0.4079 0.4900 0.1872 [2 per cell]
O 0.4113 0.9868 0.6892 [2 per cell]

Most intense lines, 2θ = 15–90°, sorted by position:
2θ/deg	I (rel.)	(hkl)
20.3	768	1 0 -2
22.0	363	0 0 4
22.6	599	1 1 1
33.5	1000	0 2 -2
34.1	337	1 1 5
34.2	275	2 0 0
34.5	223	-1 1 5
39.9	271	0 1 7
40.8	344	2 0 4
61.6	222	-3 1 5

---

The following is a computed powder diffraction line list of Li8MnFe7B8O24. It was derived from a DFT-relaxed cell (PBE+U, the Materials Project), using Cu Kα, 1.54184 Å.
Lines closer than 0.1° are merged.

Structural model:
abc: 5.2319 6.0279 16.0926
angles: 81.48 89.53 88.92
Space group P1 (No. 1)
Symmetry-distinct sites (fractional):
Li 0.0000 0.0000 0.0000 [1 per cell]
Li 0.9996 0.4969 0.5019 [1 per cell]
Li 0.3033 0.3708 0.7193 [1 per cell]
Li 0.3042 0.8663 0.2217 [1 per cell]
Li 0.4987 0.7498 0.7497 [1 per cell]
Li 0.5002 0.2477 0.2519 [1 per cell]
Li 0.8008 0.6180 0.9698 [1 per cell]
Li 0.8022 0.1194 0.4717 [1 per cell]
Mn 0.8194 0.7108 0.1506 [1 per cell]
Fe 0.3137 0.9611 0.4009 [1 per cell]
Fe 0.3245 0.4591 0.8996 [1 per cell]
Fe 0.4721 0.1584 0.0710 [1 per cell]
Fe 0.4880 0.6605 0.5681 [1 per cell]
Fe 0.8150 0.2064 0.6534 [1 per cell]
Fe 0.9753 0.4061 0.3222 [1 per cell]
Fe 0.9887 0.9059 0.8206 [1 per cell]
B 0.3195 0.6486 0.0626 [1 per cell]
B 0.3219 0.1454 0.5637 [1 per cell]
B 0.4785 0.4706 0.4073 [1 per cell]
B 0.4811 0.9712 0.9070 [1 per cell]
B 0.8238 0.8962 0.3151 [1 per cell]
B 0.8245 0.3965 0.8142 [1 per cell]
B 0.9799 0.7225 0.6576 [1 per cell]
B 0.9806 0.2187 0.1574 [1 per cell]
O 0.0600 0.6714 0.0491 [1 per cell]
O 0.0611 0.1710 0.5524 [1 per cell]
O 0.2409 0.1964 0.1693 [1 per cell]
O 0.2409 0.6967 0.6689 [1 per cell]
O 0.3355 0.6025 0.4558 [1 per cell]
O 0.3381 0.1039 0.9553 [1 per cell]
O 0.3569 0.8582 0.8495 [1 per cell]
O 0.3576 0.3558 0.3508 [1 per cell]
O 0.4373 0.7644 0.1202 [1 per cell]
O 0.4462 0.2586 0.6207 [1 per cell]
O 0.4674 0.0146 0.5151 [1 per cell]
O 0.4676 0.5140 0.0159 [1 per cell]
O 0.5634 0.4204 0.8030 [1 per cell]
O 0.5636 0.9203 0.3033 [1 per cell]
O 0.7404 0.4484 0.4190 [1 per cell]
O 0.7411 0.9458 0.9178 [1 per cell]
O 0.8344 0.8526 0.7063 [1 per cell]
O 0.8376 0.3507 0.2066 [1 per cell]
O 0.8557 0.6093 0.6003 [1 per cell]
O 0.8566 0.1056 0.1007 [1 per cell]
O 0.9451 0.0112 0.3722 [1 per cell]
O 0.9469 0.5096 0.8710 [1 per cell]
O 0.9669 0.2648 0.7653 [1 per cell]
O 0.9709 0.7641 0.2679 [1 per cell]

Most intense lines, 2θ = 15–90°, sorted by position:
2θ/deg	I (rel.)	(hkl)
20.4	806	1 0 -2
20.7	239	0 1 3
22.3	348	0 0 4
22.5	633	1 1 1
33.6	1000	0 2 -2
34.3	588	1 1 5
34.7	239	-1 1 5
38.1	235	1 0 -6
40.3	244	0 1 7
41.2	322	2 0 4